# 1
# Er3Ga9Cu2
Calculated X-ray diffraction stick pattern, Cu Ka. Input: a GGA-PBE-relaxed structure.
Intensities are scaled so that the largest is 100.

Structure:
Cell: 8.1124 8.1124 8.1124 Å, 150.22 103.80 83.88°
Atoms (fractional coordinates):
Er 0.0000 0.0000 0.0000
Er 0.3190 0.3190 0.0000
Er 0.6810 0.6810 0.0000
Ga 0.0348 0.6615 0.3733
Ga 0.1464 0.8691 0.2773
Ga 0.2882 0.6615 0.6267
Ga 0.4081 0.1309 0.2773
Ga 0.5000 0.0000 0.5000
Ga 0.5919 0.8691 0.7227
Ga 0.7118 0.3385 0.3733
Ga 0.8536 0.1309 0.7227
Ga 0.9652 0.3385 0.6267
Cu 0.2839 0.5000 0.7839
Cu 0.7161 0.5000 0.2161

The 10 most intense peaks (2θ from 15° to 90°), in order of falling intensity:
| 2theta | d/Å | I/Imax |
| --- | --- | --- |
| 35.84 | 2.506 | 100 |
| 43.39 | 2.085 | 34 |
| 34.42 | 2.605 | 31 |
| 34.93 | 2.568 | 21 |
| 64.41 | 1.446 | 21 |
| 30.89 | 2.895 | 19 |
| 45.07 | 2.011 | 15 |
| 70.03 | 1.344 | 12 |
| 45.99 | 1.973 | 10 |
| 56.89 | 1.619 | 10 |

=====

# 2
# BaCaHf
Calculated X-ray diffraction stick pattern, Cu Ka. Input: a GGA-PBE-relaxed structure.
Intensities are scaled so that the largest is 100.

Structure:
Cell: 3.7186 4.0812 15.4783 Å, 90.00 90.03 90.00°
Atoms (fractional coordinates):
Ba 0.0000 0.0000 0.0000
Ba 0.0023 0.0000 0.4139
Ca 0.5002 0.5000 0.2035
Ca 0.5037 0.5000 0.7896
Hf 0.0041 0.0000 0.6517
Hf 0.5038 0.5000 0.5727

The 10 most intense peaks (2θ from 15° to 90°), in order of falling intensity:
| 2theta | d/Å | I/Imax |
| --- | --- | --- |
| 32.58 | 2.749 | 100 |
| 27.87 | 3.201 | 69 |
| 29.61 | 3.017 | 59 |
| 44.06 | 2.055 | 35 |
| 31.87 | 2.808 | 33 |
| 33.42 | 2.681 | 29 |
| 28.84 | 3.096 | 28 |
| 33.10 | 2.706 | 28 |
| 17.19 | 5.159 | 24 |
| 54.27 | 1.690 | 23 |

=====

# 3
# AgS3O9
Calculated X-ray diffraction stick pattern, Cu Ka. Input: a GGA-PBE-relaxed structure.
Intensities are scaled so that the largest is 100.

Structure:
Cell: 7.3098 7.3098 7.8294 Å, 90.00 90.00 101.73°
Atoms (fractional coordinates):
Ag 0.1403 0.1403 0.0000
Ag 0.8597 0.8597 0.5000
S 0.2266 0.2266 0.5000
S 0.3064 0.6585 0.5513
S 0.3415 0.6936 0.9487
S 0.6585 0.3064 0.4487
S 0.6936 0.3415 0.0513
S 0.7734 0.7734 0.0000
O 0.1021 0.1861 0.6460
O 0.1358 0.7276 0.5652
O 0.1861 0.1021 0.3540
O 0.2304 0.4240 0.4237
O 0.2407 0.5382 0.0457
O 0.2724 0.8642 0.9348
O 0.3835 0.6165 0.7500
O 0.4240 0.2304 0.5763
O 0.4618 0.7593 0.4543
O 0.5382 0.2407 0.9543
O 0.5760 0.7696 0.0763
O 0.6165 0.3835 0.2500
O 0.7276 0.1358 0.4348
O 0.7593 0.4618 0.5457
O 0.7696 0.5760 0.9237
O 0.8139 0.8979 0.8540
O 0.8642 0.2724 0.0652
O 0.8979 0.8139 0.1460

The 10 most intense peaks (2θ from 15° to 90°), in order of falling intensity:
| 2theta | d/Å | I/Imax |
| --- | --- | --- |
| 22.71 | 3.915 | 100 |
| 25.47 | 3.498 | 73 |
| 15.63 | 5.670 | 45 |
| 24.88 | 3.579 | 42 |
| 22.37 | 3.975 | 40 |
| 30.10 | 2.969 | 32 |
| 34.38 | 2.608 | 32 |
| 32.25 | 2.776 | 30 |
| 27.40 | 3.255 | 25 |
| 33.94 | 2.641 | 24 |

=====

Copy entry 1 word for word.
# Er3Ga9Cu2
Calculated X-ray diffraction stick pattern, Cu Ka. Input: a GGA-PBE-relaxed structure.
Intensities are scaled so that the largest is 100.

Structure:
Cell: 8.1124 8.1124 8.1124 Å, 150.22 103.80 83.88°
Atoms (fractional coordinates):
Er 0.0000 0.0000 0.0000
Er 0.3190 0.3190 0.0000
Er 0.6810 0.6810 0.0000
Ga 0.0348 0.6615 0.3733
Ga 0.1464 0.8691 0.2773
Ga 0.2882 0.6615 0.6267
Ga 0.4081 0.1309 0.2773
Ga 0.5000 0.0000 0.5000
Ga 0.5919 0.8691 0.7227
Ga 0.7118 0.3385 0.3733
Ga 0.8536 0.1309 0.7227
Ga 0.9652 0.3385 0.6267
Cu 0.2839 0.5000 0.7839
Cu 0.7161 0.5000 0.2161

The 10 most intense peaks (2θ from 15° to 90°), in order of falling intensity:
| 2theta | d/Å | I/Imax |
| --- | --- | --- |
| 35.84 | 2.506 | 100 |
| 43.39 | 2.085 | 34 |
| 34.42 | 2.605 | 31 |
| 34.93 | 2.568 | 21 |
| 64.41 | 1.446 | 21 |
| 30.89 | 2.895 | 19 |
| 45.07 | 2.011 | 15 |
| 70.03 | 1.344 | 12 |
| 45.99 | 1.973 | 10 |
| 56.89 | 1.619 | 10 |